Record 1
HfIn3F9: simulated powder X-ray diffraction pattern (Cu Ka), based on a structure optimized by DFT (PBE).
Peak positions follow from Bragg's law for the DFT cell and can differ from measured ones.

abc: 8.039 8.039 11.142
angles: 106.42 106.42 49.75
Atoms (fractional coordinates):
Hf 0.186 0.814 0.500
Hf 0.814 0.186 0.000
In 0.194 0.374 0.214
In 0.374 0.194 0.714
In 0.545 0.797 0.292
In 0.797 0.545 0.792
In 0.807 0.813 0.674
In 0.813 0.807 0.174
F 0.085 0.167 0.061
F 0.150 0.524 0.675
F 0.153 0.260 0.821
F 0.167 0.085 0.561
F 0.259 0.520 0.424
F 0.260 0.153 0.321
F 0.365 0.742 0.368
F 0.433 0.672 0.636
F 0.520 0.259 0.924
F 0.524 0.150 0.175
F 0.672 0.433 0.136
F 0.721 0.744 0.978
F 0.742 0.365 0.868
F 0.744 0.721 0.478
F 0.920 0.957 0.104
F 0.926 0.943 0.359
F 0.943 0.926 0.859
F 0.957 0.920 0.604

Largest 6 diffraction maxima, low angle first, 15° ≤ 2θ ≤ 90°:
| 2theta | I/Imax |
| --- | --- |
| 15.8 | 84 |
| 17.6 | 56 |
| 17.8 | 91 |
| 24.1 | 100 |
| 26.0 | 46 |
| 29.4 | 54 |

Record 2
LiPaIN2: simulated powder X-ray diffraction pattern (Cu Ka), based on a structure optimized by DFT (PBE).
Peak positions follow from Bragg's law for the DFT cell and can differ from measured ones.

abc: 6.149 3.433 11.628
angles: 90.00 96.14 90.00
Atoms (fractional coordinates):
Li 0.101 0.250 0.312
Li 0.899 0.750 0.688
Pa 0.396 0.250 0.617
Pa 0.604 0.750 0.383
I 0.273 0.750 0.133
I 0.727 0.250 0.867
N 0.203 0.750 0.649
N 0.382 0.250 0.418
N 0.618 0.750 0.582
N 0.797 0.250 0.351

Largest 6 diffraction maxima, low angle first, 15° ≤ 2θ ≤ 90°:
| 2theta | I/Imax |
| --- | --- |
| 20.0 | 76 |
| 22.3 | 88 |
| 27.1 | 63 |
| 30.5 | 100 |
| 30.9 | 61 |
| 39.1 | 50 |

Record 3
NaBi3O6: simulated powder X-ray diffraction pattern (Cu Ka), based on a structure optimized by DFT (PBE).
Peak positions follow from Bragg's law for the DFT cell and can differ from measured ones.

abc: 7.184 7.184 3.466
angles: 90.00 90.00 111.25
Atoms (fractional coordinates):
Na 0.000 0.000 0.000
Bi 0.000 0.500 0.500
Bi 0.500 0.000 0.500
Bi 0.500 0.500 0.000
O 0.161 0.425 0.000
O 0.182 0.818 0.500
O 0.425 0.161 0.000
O 0.575 0.839 0.000
O 0.818 0.182 0.500
O 0.839 0.575 0.000

Largest 6 diffraction maxima, low angle first, 15° ≤ 2θ ≤ 90°:
| 2theta | I/Imax |
| --- | --- |
| 26.6 | 100 |
| 29.9 | 84 |
| 30.1 | 31 |
| 34.0 | 44 |
| 46.1 | 59 |
| 54.7 | 34 |

Record 4
Tb7Co6Sn23: simulated powder X-ray diffraction pattern (Cu Ka), based on a structure optimized by DFT (PBE).
Peak positions follow from Bragg's law for the DFT cell and can differ from measured ones.

abc: 9.723 9.723 9.941
angles: 90.00 90.00 120.00
Atoms (fractional coordinates):
Tb 0.000 0.000 0.000
Tb 0.044 0.522 0.307
Tb 0.478 0.522 0.307
Tb 0.478 0.956 0.307
Tb 0.522 0.044 0.693
Tb 0.522 0.478 0.693
Tb 0.956 0.478 0.693
Co 0.168 0.336 0.802
Co 0.168 0.832 0.802
Co 0.336 0.168 0.198
Co 0.664 0.832 0.802
Co 0.832 0.168 0.198
Co 0.832 0.664 0.198
Sn 0.000 0.000 0.500
Sn 0.000 0.347 0.000
Sn 0.000 0.653 0.000
Sn 0.117 0.234 0.273
Sn 0.117 0.883 0.273
Sn 0.218 0.435 0.548
Sn 0.218 0.782 0.548
Sn 0.234 0.117 0.727
Sn 0.333 0.667 0.114
Sn 0.333 0.667 0.819
Sn 0.347 0.000 0.000
Sn 0.347 0.347 0.000
Sn 0.435 0.218 0.452
Sn 0.565 0.782 0.548
Sn 0.653 0.000 0.000
Sn 0.653 0.653 0.000
Sn 0.667 0.333 0.181
Sn 0.667 0.333 0.886
Sn 0.766 0.883 0.273
Sn 0.782 0.218 0.452
Sn 0.782 0.565 0.452
Sn 0.883 0.117 0.727
Sn 0.883 0.766 0.727

Largest 6 diffraction maxima, low angle first, 15° ≤ 2θ ≤ 90°:
| 2theta | I/Imax |
| --- | --- |
| 33.2 | 100 |
| 33.4 | 63 |
| 34.4 | 52 |
| 36.8 | 46 |
| 37.0 | 27 |
| 56.8 | 37 |

Record 5
Ca2Ge7Au12: simulated powder X-ray diffraction pattern (Cu Ka), based on a structure optimized by DFT (PBE).
Peak positions follow from Bragg's law for the DFT cell and can differ from measured ones.

abc: 10.192 10.192 4.880
angles: 90.00 90.00 120.00
Atoms (fractional coordinates):
Ca 0.333 0.667 0.287
Ca 0.667 0.333 0.713
Ge 0.000 0.000 0.500
Ge 0.114 0.733 0.853
Ge 0.267 0.381 0.853
Ge 0.381 0.114 0.147
Ge 0.619 0.886 0.853
Ge 0.733 0.619 0.147
Ge 0.886 0.267 0.147
Au 0.068 0.469 0.734
Au 0.137 0.292 0.334
Au 0.155 0.863 0.334
Au 0.292 0.155 0.666
Au 0.401 0.932 0.734
Au 0.469 0.401 0.266
Au 0.531 0.599 0.734
Au 0.599 0.068 0.266
Au 0.708 0.845 0.334
Au 0.845 0.137 0.666
Au 0.863 0.708 0.666
Au 0.932 0.531 0.266

Largest 6 diffraction maxima, low angle first, 15° ≤ 2θ ≤ 90°:
| 2theta | I/Imax |
| --- | --- |
| 17.4 | 33 |
| 32.5 | 100 |
| 35.2 | 25 |
| 41.3 | 26 |
| 42.3 | 21 |
| 45.1 | 18 |

Record 6
Ho2Er3Tm8: simulated powder X-ray diffraction pattern (Cu Ka), based on a structure optimized by DFT (PBE).
Peak positions follow from Bragg's law for the DFT cell and can differ from measured ones.

abc: 11.765 11.765 11.765
angles: 152.93 146.86 43.30
Atoms (fractional coordinates):
Ho 0.223 0.223 0.000
Ho 0.777 0.777 0.000
Er 0.235 0.500 0.735
Er 0.500 0.000 0.500
Er 0.765 0.500 0.265
Tm 0.075 0.075 0.000
Tm 0.086 0.347 0.738
Tm 0.315 0.815 0.500
Tm 0.391 0.653 0.738
Tm 0.609 0.347 0.262
Tm 0.685 0.185 0.500
Tm 0.914 0.653 0.262
Tm 0.925 0.925 0.000

Largest 6 diffraction maxima, low angle first, 15° ≤ 2θ ≤ 90°:
| 2theta | I/Imax |
| --- | --- |
| 31.5 | 100 |
| 32.3 | 44 |
| 32.5 | 52 |
| 33.0 | 49 |
| 37.5 | 22 |
| 54.7 | 19 |